For LiV3O3F7, a GGA+U-relaxed structure gives the calculated PXRD pattern in this record (λ = 1.5418 Å (Cu Kα)).
Neutral-atom scattering factors, no anomalous dispersion.

Peak list (10 most intense, 2θ from 10° to 90°, in order of rising 2θ)
- 14.95 deg, d = 5.927 Å, rel. 20, hkl 1 0 1
- 15.04 deg, d = 5.890 Å, rel. 18, hkl 1 1 0
- 18.09 deg, d = 4.905 Å, rel. 25, hkl 0 1 1
- 22.51 deg, d = 3.950 Å, rel. 20, hkl 1 1 2
- 23.63 deg, d = 3.766 Å, rel. 74, hkl 0 0 2
- 27.64 deg, d = 3.227 Å, rel. 100, hkl 0 2 0
- 27.88 deg, d = 3.200 Å, rel. 47, hkl 2 2 1
- 48.34 deg, d = 1.883 Å, rel. 27, hkl 0 0 4
- 48.73 deg, d = 1.869 Å, rel. 16, hkl 2 -2 1
- 56.74 deg, d = 1.623 Å, rel. 20, hkl 2 0 5

Structure:
```
LiV3O3F7
1.0
7.4031 0.0000 0.0000
3.6453 6.4605 0.0000
3.6774 0.0413 7.5314
Li V O F
2 6 6 14
direct
0.0000 0.0000 0.0000
0.2538 0.4986 0.5002
0.0828 0.4727 0.9840
0.3398 0.9840 0.5162
0.5560 0.4897 0.0182
0.5849 0.9640 0.0006
0.8211 0.5002 0.4979
0.8425 0.9626 0.4836
0.3139 0.5464 0.0042
0.5186 0.7726 0.0169
0.5755 0.0513 0.5073
0.5747 0.6887 0.4894
0.8834 0.4132 0.0006
0.9355 0.6995 0.4827
0.0040 0.4439 0.2466
0.1329 0.2927 0.5182
0.1413 0.8973 0.4882
0.2074 0.9750 0.7658
0.2103 0.5125 0.7382
0.3280 0.1877 0.9576
0.4478 0.0227 0.2521
0.4736 0.4651 0.2657
0.6904 0.1790 0.9973
0.7225 0.4901 0.7548
0.7576 0.9605 0.7453
0.7863 0.2532 0.5112
0.8815 0.7808 0.0221
0.9681 0.9990 0.2412
```